Starting from a DFT-relaxed cell (GGA-PBE, Alexandria), the powder diffraction line list of CsCeSO was calculated for λ = 1.5418 Å (Cu Kα).

Structure:
```
CsCeSO
1.0
3.3894 -1.9569 0.0000
3.3894 1.9569 0.0000
-2.2492 0.0000 7.8271
Cs Ce S O
1 1 1 1
direct
0.0000 0.0000 0.0000
0.8415 0.8415 0.5269
0.4337 0.4337 0.3026
0.2126 0.2126 0.6406
```

Largest 10 diffraction maxima, in order of falling intensity, 2θ = 10–90°:
two_theta  d_spacing  I/Imax
32.6  2.748  100
26.6  3.355  99
37.7  2.384  71
22.7  3.914  68
46.4  1.957  67
27.4  3.256  65
52.3  1.750  44
57.8  1.594  37
67.7  1.384  24
77.2  1.236  24